1.
Simulated X-ray powder pattern of TbPm4Se7 for Cu Kα (λ = 1.5418 Å), from a GGA-PBE-relaxed structure.
Kinematic intensities with the Lorentz-polarization factor, no thermal factor.

Top 10 peaks for 10° ≤ 2θ ≤ 90°, by angle:
2θ/deg, Rel. int.
22.4, 83
22.9, 95
29.5, 76
29.9, 44
31.0, 100
32.1, 71
36.4, 48
39.3, 52
44.3, 44
44.6, 60

Structural model:
Lattice parameters (Å, degrees): 13.7134 4.0647 12.4125 90.00 104.75 90.00
Space group Cm (No. 8)
Symmetry-distinct sites (fractional):
Tb: 0.0000 0.0000 0.0000 [2 per cell]
Pm: 0.1123 0.0000 0.4210 [2 per cell]
Pm: 0.2253 0.0000 0.8463 [2 per cell]
Pm: 0.3121 0.5000 0.2317 [2 per cell]
Pm: 0.4131 0.0000 0.6127 [2 per cell]
Se: 0.0730 0.0000 0.6382 [2 per cell]
Se: 0.1105 0.5000 0.9252 [2 per cell]
Se: 0.1513 0.0000 0.2033 [2 per cell]
Se: 0.2730 0.5000 0.4728 [2 per cell]
Se: 0.3554 0.5000 0.7766 [2 per cell]
Se: 0.3765 0.0000 0.0708 [2 per cell]
Se: 0.4515 0.0000 0.3715 [2 per cell]

2.
Simulated X-ray powder pattern of YHoSe3 for Cu Kα (λ = 1.5418 Å), from a GGA-PBE-relaxed structure.
Kinematic intensities with the Lorentz-polarization factor, no thermal factor.

Top 10 peaks for 10° ≤ 2θ ≤ 90°, by angle:
2θ/deg, Rel. int.
14.8, 37
24.7, 52
25.4, 27
31.4, 100
32.7, 51
33.1, 37
37.5, 32
39.7, 46
40.9, 43
44.9, 42

Structural model:
Lattice parameters (Å, degrees): 8.0557 4.0377 8.1599 90.00 94.88 90.00
Space group P2_1/m (No. 11)
Symmetry-distinct sites (fractional):
Y: 0.1159 0.2500 0.2696 [2 per cell]
Ho: 0.3559 0.7500 0.8191 [2 per cell]
Se: 0.1215 0.2500 0.8891 [2 per cell]
Se: 0.1804 0.7500 0.5183 [2 per cell]
Se: 0.3927 0.7500 0.1794 [2 per cell]

3.
Simulated X-ray powder pattern of NaCeS2 for Cu Kα (λ = 1.5418 Å), from a GGA-PBE-relaxed structure.
Kinematic intensities with the Lorentz-polarization factor, no thermal factor.

Top 10 peaks for 10° ≤ 2θ ≤ 90°, by angle:
2θ/deg, Rel. int.
15.9, 61
21.8, 59
27.0, 48
31.0, 100
32.1, 45
35.0, 35
39.1, 26
44.3, 36
45.2, 67
55.8, 35

Structural model:
Lattice parameters (Å, degrees): 4.0860 4.0860 5.5802 90.00 90.00 90.00
Space group P4/mmm (No. 123)
Symmetry-distinct sites (fractional):
Na: 0.0000 0.0000 0.0000 [1 per cell]
Ce: 0.5000 0.5000 0.5000 [1 per cell]
S: 0.0000 0.0000 0.5000 [1 per cell]
S: 0.5000 0.5000 0.0000 [1 per cell]

4.
Simulated X-ray powder pattern of Ta2CdNi for Cu Kα (λ = 1.5418 Å), from a GGA-PBE-relaxed structure.
Kinematic intensities with the Lorentz-polarization factor, no thermal factor.

Top 10 peaks for 10° ≤ 2θ ≤ 90°, by angle:
2θ/deg, Rel. int.
18.9, 16
34.4, 8
38.3, 25
39.5, 100
40.8, 24
57.1, 24
70.0, 15
72.5, 8
73.3, 16
85.1, 10

Structural model:
Lattice parameters (Å, degrees): 3.2274 4.4279 9.4072 90.00 90.00 90.00
Space group Immm (No. 71)
Symmetry-distinct sites (fractional):
Ta: 0.0000 0.0000 0.2330 [4 per cell]
Cd: 0.0000 0.5000 0.0000 [2 per cell]
Ni: 0.0000 0.5000 0.5000 [2 per cell]

5.
Simulated X-ray powder pattern of TmSi2TcRh for Cu Kα (λ = 1.5418 Å), from a GGA-PBE-relaxed structure.
Kinematic intensities with the Lorentz-polarization factor, no thermal factor.

Top 10 peaks for 10° ≤ 2θ ≤ 90°, by angle:
2θ/deg, Rel. int.
23.2, 34
35.5, 33
35.7, 100
37.7, 16
43.2, 39
57.1, 16
58.7, 17
62.8, 13
66.8, 17
74.4, 23

Structural model:
Lattice parameters (Å, degrees): 4.1854 4.1854 9.5400 90.00 90.00 90.00
Space group I-4m2 (No. 119)
Symmetry-distinct sites (fractional):
Tm: 0.0000 0.0000 0.0000 [2 per cell]
Si: 0.0000 0.0000 0.3719 [4 per cell]
Tc: 0.0000 0.5000 0.2500 [2 per cell]
Rh: 0.0000 0.5000 0.7500 [2 per cell]

6.
Simulated X-ray powder pattern of Th2CoHgPt for Cu Kα (λ = 1.5418 Å), from a GGA-PBE-relaxed structure.
Kinematic intensities with the Lorentz-polarization factor, no thermal factor.

Top 10 peaks for 10° ≤ 2θ ≤ 90°, by angle:
2θ/deg, Rel. int.
28.9, 11
30.9, 47
32.6, 100
36.6, 20
38.5, 31
39.2, 11
44.8, 14
54.1, 14
65.1, 13
65.9, 14

Structural model:
Lattice parameters (Å, degrees): 7.3927 4.6818 7.3932 90.00 113.68 90.00
Space group P2_1/m (No. 11)
Symmetry-distinct sites (fractional):
Th: 0.0884 0.2500 0.3407 [2 per cell]
Th: 0.3408 0.7500 0.0882 [2 per cell]
Co: 0.0241 0.2500 0.9752 [2 per cell]
Hg: 0.4029 0.7500 0.5973 [2 per cell]
Pt: 0.2329 0.2500 0.7667 [2 per cell]

7.
Simulated X-ray powder pattern of Na5AlP2O8F2 for Cu Kα (λ = 1.5418 Å), from a GGA-PBE-relaxed structure.
Kinematic intensities with the Lorentz-polarization factor, no thermal factor.

Top 10 peaks for 10° ≤ 2θ ≤ 90°, by angle:
2θ/deg, Rel. int.
23.5, 66
28.4, 22
31.7, 28
33.2, 62
33.9, 100
37.4, 26
40.0, 24
48.1, 60
60.2, 29
66.2, 27

Structural model:
Lattice parameters (Å, degrees): 10.5850 10.5850 6.6821 90.00 90.00 120.00
Space group P-3 (No. 147)
Symmetry-distinct sites (fractional):
Na: 0.0000 0.0000 0.0000 [1 per cell]
Na: 0.0000 0.0000 0.5000 [1 per cell]
Na: 0.0000 0.5000 0.0000 [3 per cell]
Na: 0.1447 0.3155 0.7360 [6 per cell]
Na: 0.3333 0.6667 0.4780 [2 per cell]
Na: 0.3333 0.6667 0.9200 [2 per cell]
Al: 0.0000 0.5000 0.5000 [3 per cell]
P: 0.1841 0.3711 0.2517 [6 per cell]
O: 0.0787 0.6511 0.3006 [6 per cell]
O: 0.0966 0.2025 0.2577 [6 per cell]
O: 0.1285 0.4333 0.4218 [6 per cell]
O: 0.1758 0.4322 0.0466 [6 per cell]
F: 0.1361 0.6161 0.6906 [6 per cell]

8.
Simulated X-ray powder pattern of Sc2PaVC4 for Cu Kα (λ = 1.5418 Å), from a GGA-PBE-relaxed structure.
Kinematic intensities with the Lorentz-polarization factor, no thermal factor.

Top 10 peaks for 10° ≤ 2θ ≤ 90°, by angle:
2θ/deg, Rel. int.
15.8, 94
17.5, 78
28.5, 63
31.6, 44
31.8, 48
32.0, 100
36.6, 62
39.2, 58
45.4, 31
51.2, 34

Structural model:
Lattice parameters (Å, degrees): 3.3693 11.3412 11.2526 90.00 90.00 90.00
Space group Cmcm (No. 63)
Symmetry-distinct sites (fractional):
Sc: 0.0000 0.1286 0.0415 [8 per cell]
Pa: 0.0000 0.3890 0.2500 [4 per cell]
V: 0.0000 0.3466 0.7500 [4 per cell]
C: 0.0000 0.0518 0.2500 [4 per cell]
C: 0.0000 0.2351 0.6282 [8 per cell]
C: 0.0000 0.5000 0.0000 [4 per cell]

> What is the formula in the fourth record?

Ta2CdNi

Repeat the fifth record exactly.
Simulated X-ray powder pattern of TmSi2TcRh for Cu Kα (λ = 1.5418 Å), from a GGA-PBE-relaxed structure.
Kinematic intensities with the Lorentz-polarization factor, no thermal factor.

Top 10 peaks for 10° ≤ 2θ ≤ 90°, by angle:
2θ/deg, Rel. int.
23.2, 34
35.5, 33
35.7, 100
37.7, 16
43.2, 39
57.1, 16
58.7, 17
62.8, 13
66.8, 17
74.4, 23

Structural model:
Lattice parameters (Å, degrees): 4.1854 4.1854 9.5400 90.00 90.00 90.00
Space group I-4m2 (No. 119)
Symmetry-distinct sites (fractional):
Tm: 0.0000 0.0000 0.0000 [2 per cell]
Si: 0.0000 0.0000 0.3719 [4 per cell]
Tc: 0.0000 0.5000 0.2500 [2 per cell]
Rh: 0.0000 0.5000 0.7500 [2 per cell]